The following is a calculated PXRD pattern of Zn4GaTc. It was derived from the PBE geometry in Alexandria, using copper Kα.
Peak positions follow from Bragg's law for the DFT cell and can differ from measured ones.

Principal peaks in the range 10° ≤ 2θ ≤ 90°, in order of rising 2θ:
Position (°2θ)	d_spacing	intensity	hkl
40.36	2.235	100	1 3 2
43.55	2.078	20	0 0 4
47.45	1.916	15	0 6 0
49.70	1.835	14	2 0 0
66.36	1.409	10	0 6 4
68.19	1.375	10	2 0 4
77.80	1.228	12	1 3 6
83.43	1.159	11	1 9 2
86.81	1.122	10	3 3 2
87.26	1.117	10	2 6 4

Structural model:
Cell: 3.6692 11.4967 8.3119 Å, 90.00 90.00 90.00°
Space group Cmc2_1 (No. 36)
Asymmetric unit:
1 Zn 0.0000 0.0014 0.0000 (multiplicity 4)
2 Zn 0.0000 0.1660 0.7567 (multiplicity 4)
3 Zn 0.0000 0.3315 0.5102 (multiplicity 4)
4 Zn 0.0000 0.4946 0.2412 (multiplicity 4)
5 Ga 0.0000 0.3289 0.9924 (multiplicity 4)
6 Tc 0.0000 0.1638 0.2557 (multiplicity 4)

The following is a calculated PXRD pattern of LiIr5Rh4. It was derived from the PBE geometry in Alexandria, using copper Kα.
Peak positions follow from Bragg's law for the DFT cell and can differ from measured ones.

Principal peaks in the range 10° ≤ 2θ ≤ 90°, in order of rising 2θ:
Position (°2θ)	d_spacing	intensity	hkl
15.98	5.545	46	2 0 -1
22.38	3.973	30	1 1 0
31.12	2.874	34	4 0 -1
39.95	2.257	26	4 0 -3
41.49	2.176	64	0 2 0
42.01	2.151	91	1 1 2
43.67	2.073	100	3 1 -3
45.33	2.001	80	5 1 -1
77.18	1.236	18	3 3 -3
82.49	1.169	17	8 2 -4

Structural model:
Cell: 11.6591 4.3529 7.0898 Å, 90.00 123.50 90.00°
Space group C2/m (No. 12)
Asymmetric unit:
1 Li 0.0000 0.0000 0.0000 (multiplicity 2)
2 Ir 0.0000 0.5000 0.5000 (multiplicity 2)
3 Ir 0.0883 0.5000 0.9348 (multiplicity 4)
4 Ir 0.1207 0.0000 0.7437 (multiplicity 4)
5 Rh 0.1832 0.5000 0.3728 (multiplicity 4)
6 Rh 0.2361 0.0000 0.1982 (multiplicity 4)